Calculated X-ray diffraction stick pattern of CeDyBiO2 for Cu Ka, from a structure optimized by DFT (PBE).

Structure:
```
data_CeDyBiO2
_symmetry_space_group_name_H-M 'I 4 m m'
_symmetry_Int_Tables_number 107
_symmetry_space_group_name_Hall 'I 4 -2'
_cell_length_a 3.9640
_cell_length_b 3.9640
_cell_length_c 13.1976
_cell_angle_alpha 90.00
_cell_angle_beta 90.00
_cell_angle_gamma 90.00
loop_
_atom_site_label
_atom_site_type_symbol
_atom_site_fract_x
_atom_site_fract_y
_atom_site_fract_z
_atom_site_occupancy
Ce1 Ce 0.0000 0.0000 0.0000 1
Dy1 Dy 0.0000 0.0000 0.6742 1
Bi1 Bi 0.0000 0.0000 0.3366 1
O1 O 0.0000 0.5000 0.0900 1
```

Principal peaks in the range 2θ from 10° to 90°, sorted by position:
2θ (°)  intensity
30.35  100
31.93  38
41.04  11
45.78  18
52.91  24
55.92  36
63.15  12
86.04  11

Calculated X-ray diffraction stick pattern of Li6Tl2Au for Cu Ka, from a structure optimized by DFT (PBE).

Structure:
```
data_Li6Tl2Au
_symmetry_space_group_name_H-M 'P 6/m m m'
_symmetry_Int_Tables_number 191
_symmetry_space_group_name_Hall '-P 6 2'
_cell_length_a 7.8149
_cell_length_b 7.8149
_cell_length_c 3.0099
_cell_angle_alpha 90.00
_cell_angle_beta 90.00
_cell_angle_gamma 120.00
loop_
_atom_site_label
_atom_site_type_symbol
_atom_site_fract_x
_atom_site_fract_y
_atom_site_fract_z
_atom_site_occupancy
Li1 Li 0.0000 0.3237 0.0000 1
Tl1 Tl 0.3333 0.6667 0.5000 1
Au1 Au 0.0000 0.0000 0.5000 1
```

Principal peaks in the range 2θ from 10° to 90°, sorted by position:
2θ (°)  intensity
22.76  100
29.68  16
37.73  62
39.96  28
46.48  16
50.56  23
56.12  20
71.10  20

Calculated X-ray diffraction stick pattern of Pm2PPt3 for Cu Ka, from a structure optimized by DFT (PBE).

Structure:
```
data_Pm2PPt3
_symmetry_space_group_name_H-M 'P m m 2'
_symmetry_Int_Tables_number 25
_symmetry_space_group_name_Hall 'P 2 -2'
_cell_length_a 3.8864
_cell_length_b 4.2797
_cell_length_c 7.6060
_cell_angle_alpha 90.00
_cell_angle_beta 90.00
_cell_angle_gamma 90.00
loop_
_atom_site_label
_atom_site_type_symbol
_atom_site_fract_x
_atom_site_fract_y
_atom_site_fract_z
_atom_site_occupancy
Pm1 Pm 0.0000 0.0000 0.0000 1
Pm2 Pm 0.0000 0.5000 0.4930 1
P1 P 0.5000 0.5000 0.8123 1
Pt1 Pt 0.5000 0.0000 0.3326 1
Pt2 Pt 0.5000 0.0000 0.6882 1
Pt3 Pt 0.5000 0.5000 0.1222 1
```

Principal peaks in the range 2θ from 10° to 90°, sorted by position:
2θ (°)  intensity
22.88  16
32.95  42
33.29  100
41.39  49
42.23  27
46.75  20
54.58  20
64.19  27

Calculated X-ray diffraction stick pattern of Hf2ReBi for Cu Ka, from a structure optimized by DFT (PBE).

Structure:
```
data_Hf2ReBi
_symmetry_space_group_name_H-M 'P 4/m m m'
_symmetry_Int_Tables_number 123
_symmetry_space_group_name_Hall '-P 4 2'
_cell_length_a 3.2840
_cell_length_b 3.2840
_cell_length_c 8.1662
_cell_angle_alpha 90.00
_cell_angle_beta 90.00
_cell_angle_gamma 90.00
loop_
_atom_site_label
_atom_site_type_symbol
_atom_site_fract_x
_atom_site_fract_y
_atom_site_fract_z
_atom_site_occupancy
Hf1 Hf 0.0000 0.0000 0.1921 1
Re1 Re 0.5000 0.5000 0.0000 1
Bi1 Bi 0.5000 0.5000 0.5000 1
```

Principal peaks in the range 2θ from 10° to 90°, sorted by position:
2θ (°)  intensity
10.83  10
35.07  100
38.78  49
43.17  11
52.80  9
56.00  17
60.37  9
67.81  30

Calculated X-ray diffraction stick pattern of EuPaGa4 for Cu Ka, from a structure optimized by DFT (PBE).

Structure:
```
data_EuPaGa4
_symmetry_space_group_name_H-M 'F -4 3 m'
_symmetry_Int_Tables_number 216
_symmetry_space_group_name_Hall 'F -4 2 3'
_cell_length_a 7.8573
_cell_length_b 7.8573
_cell_length_c 7.8573
_cell_angle_alpha 90.00
_cell_angle_beta 90.00
_cell_angle_gamma 90.00
loop_
_atom_site_label
_atom_site_type_symbol
_atom_site_fract_x
_atom_site_fract_y
_atom_site_fract_z
_atom_site_occupancy
Eu1 Eu 0.0000 0.0000 0.0000 1
Pa1 Pa 0.2500 0.2500 0.2500 1
Ga1 Ga 0.1242 0.1242 0.6242 1
```

Principal peaks in the range 2θ from 10° to 90°, sorted by position:
2θ (°)  intensity
19.57  17
32.22  64
37.98  100
39.74  15
57.46  25
61.30  33
67.42  24
80.09  11

Calculated X-ray diffraction stick pattern of Tb4Er3Hg4 for Cu Ka, from a structure optimized by DFT (PBE).

Structure:
```
data_Tb4Er3Hg4
_symmetry_space_group_name_H-M 'I m m m'
_symmetry_Int_Tables_number 71
_symmetry_space_group_name_Hall '-I 2 2'
_cell_length_a 5.1808
_cell_length_b 7.0123
_cell_length_c 17.0767
_cell_angle_alpha 90.00
_cell_angle_beta 90.00
_cell_angle_gamma 90.00
loop_
_atom_site_label
_atom_site_type_symbol
_atom_site_fract_x
_atom_site_fract_y
_atom_site_fract_z
_atom_site_occupancy
Tb1 Tb 0.0000 0.2389 0.1793 1
Er1 Er 0.0000 0.0000 0.4024 1
Er2 Er 0.0000 0.5000 0.5000 1
Hg1 Hg 0.0000 0.2876 0.0000 1
Hg2 Hg 0.0000 0.5000 0.3239 1
```

Principal peaks in the range 2θ from 10° to 90°, sorted by position:
2θ (°)  intensity
29.08  21
31.25  100
31.40  43
34.64  62
38.30  29
40.80  38
59.97  19
68.54  23

Calculated X-ray diffraction stick pattern of Ni9Ge4Pt2 for Cu Ka, from a structure optimized by DFT (PBE).

Structure:
```
data_Ni9Ge4Pt2
_symmetry_space_group_name_H-M 'C 1 2/m 1'
_symmetry_Int_Tables_number 12
_symmetry_space_group_name_Hall '-C 2y'
_cell_length_a 7.4177
_cell_length_b 3.7955
_cell_length_c 13.5328
_cell_angle_alpha 90.00
_cell_angle_beta 98.35
_cell_angle_gamma 90.00
loop_
_atom_site_label
_atom_site_type_symbol
_atom_site_fract_x
_atom_site_fract_y
_atom_site_fract_z
_atom_site_occupancy
Ni1 Ni 0.0000 0.0000 0.0000 1
Ni2 Ni 0.0034 0.0000 0.8209 1
Ni3 Ni 0.0099 0.0000 0.4046 1
Ni4 Ni 0.1601 0.5000 0.5279 1
Ni5 Ni 0.1743 0.5000 0.9324 1
Ge1 Ge 0.1598 0.5000 0.1168 1
Ge2 Ge 0.1782 0.5000 0.3550 1
Pt1 Pt 0.1619 0.5000 0.7256 1
```

Principal peaks in the range 2θ from 10° to 90°, sorted by position:
2θ (°)  intensity
32.19  19
41.65  100
44.04  95
44.70  37
47.94  38
56.53  21
67.62  21
77.21  17

Calculated X-ray diffraction stick pattern of Na3In2Bi3 for Cu Ka, from a structure optimized by DFT (PBE).

Structure:
```
data_Na3In2Bi3
_symmetry_space_group_name_H-M 'C m c m'
_symmetry_Int_Tables_number 63
_symmetry_space_group_name_Hall '-C 2c 2'
_cell_length_a 4.8492
_cell_length_b 13.5145
_cell_length_c 15.8194
_cell_angle_alpha 90.00
_cell_angle_beta 90.00
_cell_angle_gamma 90.00
loop_
_atom_site_label
_atom_site_type_symbol
_atom_site_fract_x
_atom_site_fract_y
_atom_site_fract_z
_atom_site_occupancy
Na1 Na 0.0000 0.0510 0.1171 1
Na2 Na 0.0000 0.2849 0.2500 1
In1 In 0.0000 0.2510 0.5954 1
Bi1 Bi 0.0000 0.3836 0.0611 1
Bi2 Bi 0.0000 0.3877 0.7500 1
```

Principal peaks in the range 2θ from 10° to 90°, sorted by position:
2θ (°)  intensity
19.45  51
21.37  67
27.01  21
31.99  100
34.00  20
37.08  25
41.93  18
43.20  23

Calculated X-ray diffraction stick pattern of Li3Tb3VS8 for Cu Ka, from a structure optimized by DFT (PBE).

Structure:
```
data_Li3Tb3VS8
_symmetry_space_group_name_H-M 'R -3 m'
_symmetry_Int_Tables_number 166
_symmetry_space_group_name_Hall '-R 3 2"'
_cell_length_a 7.6826
_cell_length_b 7.6826
_cell_length_c 18.4255
_cell_angle_alpha 90.00
_cell_angle_beta 90.00
_cell_angle_gamma 120.00
loop_
_atom_site_label
_atom_site_type_symbol
_atom_site_fract_x
_atom_site_fract_y
_atom_site_fract_z
_atom_site_occupancy
Li1 Li 0.0000 0.5000 0.0000 1
Tb1 Tb 0.0000 0.5000 0.5000 1
V1 V 0.0000 0.0000 0.5000 1
S1 S 0.0000 0.0000 0.2520 1
S2 S 0.0341 0.5170 0.2446 1
```

Principal peaks in the range 2θ from 10° to 90°, sorted by position:
2θ (°)  intensity
14.42  100
27.24  61
33.22  91
36.38  26
43.86  20
47.33  31
48.05  31
49.74  26

Calculated X-ray diffraction stick pattern of YbReB4 for Cu Ka, from a structure optimized by DFT (PBE).

Structure:
```
data_YbReB4
_symmetry_space_group_name_H-M 'P b a m'
_symmetry_Int_Tables_number 55
_symmetry_space_group_name_Hall '-P 2 2ab'
_cell_length_a 5.9893
_cell_length_b 11.5803
_cell_length_c 3.5493
_cell_angle_alpha 90.00
_cell_angle_beta 90.00
_cell_angle_gamma 90.00
loop_
_atom_site_label
_atom_site_type_symbol
_atom_site_fract_x
_atom_site_fract_y
_atom_site_fract_z
_atom_site_occupancy
Yb1 Yb 0.1271 0.1503 0.0000 1
Re1 Re 0.1316 0.4147 0.0000 1
B1 B 0.0236 0.6935 0.5000 1
B2 B 0.1151 0.5480 0.5000 1
B3 B 0.1339 0.9682 0.5000 1
B4 B 0.2130 0.8142 0.5000 1
```

Principal peaks in the range 2θ from 10° to 90°, sorted by position:
2θ (°)  intensity
25.09  97
30.86  86
34.41  28
38.03  34
40.17  100
43.06  35
46.11  46
61.25  29

Calculated X-ray diffraction stick pattern of Pa2Ga2Pd7 for Cu Ka, from a structure optimized by DFT (PBE).

Structure:
```
data_Pa2Ga2Pd7
_symmetry_space_group_name_H-M 'I m m m'
_symmetry_Int_Tables_number 71
_symmetry_space_group_name_Hall '-I 2 2'
_cell_length_a 3.6666
_cell_length_b 9.3116
_cell_length_c 11.6609
_cell_angle_alpha 90.00
_cell_angle_beta 90.00
_cell_angle_gamma 90.00
loop_
_atom_site_label
_atom_site_type_symbol
_atom_site_fract_x
_atom_site_fract_y
_atom_site_fract_z
_atom_site_occupancy
Pa1 Pa 0.0000 0.2120 0.0000 1
Ga1 Ga 0.0000 0.5000 0.1670 1
Pd1 Pd 0.0000 0.0000 0.5000 1
Pd2 Pd 0.0000 0.1945 0.3229 1
Pd3 Pd 0.0000 0.5000 0.3827 1
```

Principal peaks in the range 2θ from 10° to 90°, sorted by position:
2θ (°)  intensity
32.00  47
33.60  58
37.07  45
37.98  63
38.92  100
40.71  26
49.73  31
64.61  24

Calculated X-ray diffraction stick pattern of KNa2AuS2 for Cu Ka, from a structure optimized by DFT (PBE).

Structure:
```
data_KNa2AuS2
_symmetry_space_group_name_H-M 'P n n m'
_symmetry_Int_Tables_number 58
_symmetry_space_group_name_Hall '-P 2 2n'
_cell_length_a 6.8819
_cell_length_b 10.8067
_cell_length_c 4.6561
_cell_angle_alpha 90.00
_cell_angle_beta 90.00
_cell_angle_gamma 90.00
loop_
_atom_site_label
_atom_site_type_symbol
_atom_site_fract_x
_atom_site_fract_y
_atom_site_fract_z
_atom_site_occupancy
K1 K 0.0000 0.0000 0.0000 1
Na1 Na 0.0676 0.2912 0.5000 1
Au1 Au 0.0000 0.5000 0.0000 1
S1 S 0.2493 0.3548 0.0000 1
```

Principal peaks in the range 2θ from 10° to 90°, sorted by position:
2θ (°)  intensity
15.26  74
16.41  37
20.77  47
23.06  41
28.43  100
30.81  27
40.78  23
41.13  28